Starting from a crystal structure in OQMD, relaxed with PBE, the powder diffractogram of FeSi16Ge12P3 was simulated for Cu Kα, 1.54184 Å.
Peak positions follow from Bragg's law for the DFT cell and can differ from measured ones.

Crystal structure
```
FeSi16Ge12P3
1.0
6.7710 0.0000 0.0000
1.1140 10.2791 0.0000
3.3413 1.1272 9.7466
Fe Si Ge P
1 16 12 3
direct
0.0000 0.0000 0.0000 Fe
0.0044 0.1174 0.6298 Si
0.0073 0.8796 0.3746 Si
0.0127 0.3825 0.8808 Si
0.0138 0.7594 0.7496 Si
0.1173 0.8470 0.1388 Si
0.1237 0.9595 0.7794 Si
0.1291 0.7156 0.5210 Si
0.1304 0.5872 0.8884 Si
0.4969 0.9446 0.6870 Si
0.4985 0.0619 0.3070 Si
0.4999 0.5686 0.8138 Si
0.5097 0.4431 0.1921 Si
0.6290 0.5212 0.5860 Si
0.6323 0.6458 0.2020 Si
0.6350 0.9026 0.4526 Si
0.6525 0.0211 0.0726 Si
0.0052 0.5108 0.5046 Ge
0.0073 0.6357 0.1248 Ge
0.0175 0.2466 0.2479 Ge
0.1200 0.3271 0.6492 Ge
0.1286 0.1913 0.0075 Ge
0.1357 0.4570 0.2679 Ge
0.4946 0.8229 0.0687 Ge
0.5070 0.6933 0.4391 Ge
0.5076 0.3139 0.5700 Ge
0.6298 0.2621 0.3298 Ge
0.6355 0.3953 0.9543 Ge
0.6345 0.7726 0.8280 Ge
0.1286 0.0755 0.3976 P
0.5096 0.1877 0.9404 P
0.6353 0.1372 0.7113 P
```

Principal peaks in the range 10 to 90 degrees two-theta, by angle:
two_theta  d [Å]  I (rel.)  (hkl)
27.87  3.201  1000  0 1 3
27.97  3.190  979  1 -2 2
46.23  1.964  237  -2 1 3
46.39  1.957  464  1 -1 5
46.46  1.954  684  3 -2 2
54.88  1.673  202  1 1 -5
55.00  1.670  200  -3 3 1
55.11  1.667  408  0 6 2
67.63  1.385  141  2 4 -4
86.20  1.128  178  4 -3 7

---

Starting from a crystal structure in OQMD, relaxed with PBE, the powder diffractogram of HgTePbO was simulated for Cu Kα, 1.54184 Å.
Peak positions follow from Bragg's law for the DFT cell and can differ from measured ones.

Crystal structure
```
HgTePbO
1.0
6.4294 0.0000 0.0000
0.0000 7.7879 0.0000
0.0000 0.0000 9.2783
Hg Te Pb O
4 4 4 4
direct
0.0435 0.0982 0.0211 Hg
0.4565 0.9018 0.5211 Hg
0.5435 0.4018 0.9789 Hg
0.9565 0.5982 0.4789 Hg
0.0901 0.9001 0.3565 Te
0.4099 0.0999 0.8565 Te
0.5901 0.5999 0.6435 Te
0.9099 0.4001 0.1435 Te
0.0827 0.6341 0.8970 Pb
0.4173 0.3659 0.3970 Pb
0.5827 0.8659 0.1030 Pb
0.9173 0.1341 0.6030 Pb
0.1113 0.3464 0.5161 O
0.3887 0.6536 0.0161 O
0.6113 0.1536 0.4839 O
0.8887 0.8464 0.9839 O
```

Principal peaks in the range 10 to 90 degrees two-theta, by angle:
two_theta  d [Å]  I (rel.)  (hkl)
19.13  4.639  623  0 0 2
24.80  3.591  430  0 2 1
26.31  3.388  1000  1 1 2
26.77  3.331  598  1 2 0
27.75  3.215  499  2 0 0
28.47  3.135  598  1 2 1
33.11  2.706  643  1 2 2
34.17  2.624  835  1 1 3
46.67  1.946  419  0 4 0
49.53  1.840  561  3 2 1

---

Starting from a crystal structure in OQMD, relaxed with PBE, the powder diffractogram of DyTmFe2Ge2 was simulated for Cu Kα, 1.54184 Å.
Peak positions follow from Bragg's law for the DFT cell and can differ from measured ones.

Crystal structure
```
DyTmFe2Ge2
1.0
4.0833 0.0000 0.0000
0.0000 4.0833 0.0000
0.0000 0.0000 6.4497
Dy Tm Fe Ge
1 1 2 2
direct
0.0000 0.0000 0.0000 Dy
0.5000 0.5000 0.3802 Tm
0.0000 0.5000 0.6857 Fe
0.5000 0.0000 0.6857 Fe
0.0000 0.0000 0.4874 Ge
0.5000 0.5000 0.8850 Ge
```

Principal peaks in the range 10 to 90 degrees two-theta, by angle:
two_theta  d [Å]  I (rel.)  (hkl)
25.82  3.450  378  1 0 1
30.97  2.887  596  1 1 0
34.02  2.635  264  1 1 1
35.47  2.531  636  1 0 2
42.00  2.151  1000  1 1 2
44.37  2.042  609  2 0 0
58.05  1.589  307  2 1 2
61.87  1.500  284  1 0 4
79.26  1.209  279  2 1 4
80.05  1.199  316  3 1 2

---

Please write out number 1 again, unchanged.
Starting from a crystal structure in OQMD, relaxed with PBE, the powder diffractogram of FeSi16Ge12P3 was simulated for Cu Kα, 1.54184 Å.
Peak positions follow from Bragg's law for the DFT cell and can differ from measured ones.

Crystal structure
```
FeSi16Ge12P3
1.0
6.7710 0.0000 0.0000
1.1140 10.2791 0.0000
3.3413 1.1272 9.7466
Fe Si Ge P
1 16 12 3
direct
0.0000 0.0000 0.0000 Fe
0.0044 0.1174 0.6298 Si
0.0073 0.8796 0.3746 Si
0.0127 0.3825 0.8808 Si
0.0138 0.7594 0.7496 Si
0.1173 0.8470 0.1388 Si
0.1237 0.9595 0.7794 Si
0.1291 0.7156 0.5210 Si
0.1304 0.5872 0.8884 Si
0.4969 0.9446 0.6870 Si
0.4985 0.0619 0.3070 Si
0.4999 0.5686 0.8138 Si
0.5097 0.4431 0.1921 Si
0.6290 0.5212 0.5860 Si
0.6323 0.6458 0.2020 Si
0.6350 0.9026 0.4526 Si
0.6525 0.0211 0.0726 Si
0.0052 0.5108 0.5046 Ge
0.0073 0.6357 0.1248 Ge
0.0175 0.2466 0.2479 Ge
0.1200 0.3271 0.6492 Ge
0.1286 0.1913 0.0075 Ge
0.1357 0.4570 0.2679 Ge
0.4946 0.8229 0.0687 Ge
0.5070 0.6933 0.4391 Ge
0.5076 0.3139 0.5700 Ge
0.6298 0.2621 0.3298 Ge
0.6355 0.3953 0.9543 Ge
0.6345 0.7726 0.8280 Ge
0.1286 0.0755 0.3976 P
0.5096 0.1877 0.9404 P
0.6353 0.1372 0.7113 P
```

Principal peaks in the range 10 to 90 degrees two-theta, by angle:
two_theta  d [Å]  I (rel.)  (hkl)
27.87  3.201  1000  0 1 3
27.97  3.190  979  1 -2 2
46.23  1.964  237  -2 1 3
46.39  1.957  464  1 -1 5
46.46  1.954  684  3 -2 2
54.88  1.673  202  1 1 -5
55.00  1.670  200  -3 3 1
55.11  1.667  408  0 6 2
67.63  1.385  141  2 4 -4
86.20  1.128  178  4 -3 7